Calculated powder diffractogram of Cs2NiIrO6 for Cu Kα (λ = 1.5418 Å), from a crystal structure in Alexandria, relaxed with GGA+U.
No peak broadening, texture or thermal motion is included.

Structure:
Unit cell a=6.4222 b=6.4222 c=5.1828 alpha=90.00 beta=90.00 gamma=120.00
Space group P-3m1 (No. 164)
Symmetry-distinct sites (fractional):
1 Cs 0.3333 0.6667 0.2580 (multiplicity 2)
2 Ni 0.0000 0.0000 0.5000 (multiplicity 1)
3 Ir 0.0000 0.0000 0.0000 (multiplicity 1)
4 O 0.1353 0.2707 0.7730 (multiplicity 6)

Most intense lines, 2θ from 5° to 70°, by angle:
two_theta  d (Å)  Rel. int.
15.93  5.562  44
23.46  3.792  77
27.78  3.211  100
36.67  2.450  41
38.32  2.349  42
46.62  1.948  20
47.99  1.896  32
49.14  1.854  19
56.36  1.633  37
57.39  1.606  17